No. 1
Starting from a cell relaxed with PBE, the X-ray powder pattern of Li2NdErGe2 was calculated for Cu Kα, 1.54184 Å.
Kinematic intensities with the Lorentz-polarization factor, no thermal factor.

Most intense lines, 2θ = 15–90°, by angle:
two_theta, Rel. int.
23.11, 45
26.17, 19
33.82, 100
40.61, 44
47.24, 7
49.88, 8
53.84, 27
55.66, 9
66.20, 20
69.56, 25
73.89, 8
83.13, 7

Crystal structure
```
6
Lattice="4.443 0.000 0.000 -2.222 3.848 0.000 0.000 0.000 7.313" Properties=species:S:1:pos:R:3 pbc="T T T"
Li 0.000 2.565 1.587
Li 2.222 1.283 5.726
Nd 0.000 0.000 3.657
Er 0.000 0.000 0.000
Ge 0.000 2.565 5.586
Ge 2.222 1.283 1.728
```


No. 2
Starting from a cell relaxed with PBE, the X-ray powder pattern of Tb4Er15Tl was calculated for Cu Kα, 1.54184 Å.
Kinematic intensities with the Lorentz-polarization factor, no thermal factor.

Most intense lines, 2θ = 15–90°, by angle:
two_theta, Rel. int.
31.31, 100
36.01, 17
36.46, 33
52.18, 24
52.52, 12
61.82, 14
62.43, 28
65.33, 12
85.37, 12
85.91, 6
88.52, 6
88.78, 6

Crystal structure
```
20
Lattice="4.928 0.000 0.000 0.000 4.928 0.000 0.000 0.000 24.941" Properties=species:S:1:pos:R:3 pbc="T T T"
Tb 0.000 0.000 2.515
Tb 0.000 0.000 7.520
Tb 0.000 0.000 17.421
Tb 0.000 0.000 22.426
Er 0.000 2.464 0.000
Er 0.000 2.464 5.021
Er 0.000 2.464 10.037
Er 0.000 2.464 14.904
Er 0.000 2.464 19.921
Er 2.464 0.000 0.000
Er 2.464 0.000 5.021
Er 2.464 0.000 10.037
Er 2.464 0.000 14.904
Er 2.464 0.000 19.921
Er 2.464 2.464 2.525
Er 2.464 2.464 7.591
Er 2.464 2.464 12.471
Er 2.464 2.464 17.350
Er 2.464 2.464 22.416
Tl 0.000 0.000 12.471
```


No. 3
Starting from a cell relaxed with PBE, the X-ray powder pattern of Li2NdGaF8 was calculated for Cu Kα, 1.54184 Å.
Kinematic intensities with the Lorentz-polarization factor, no thermal factor.

Most intense lines, 2θ = 15–90°, by angle:
two_theta, Rel. int.
18.28, 100
19.63, 72
25.63, 42
26.37, 54
27.52, 45
30.46, 29
32.37, 18
32.83, 17
37.04, 36
38.85, 42
41.49, 18
43.45, 23

Crystal structure
```
12
Lattice="4.526 0.000 0.000 0.207 4.869 0.000 0.077 0.538 6.951" Properties=species:S:1:pos:R:3 pbc="T T T"
Li 0.157 0.304 2.075
Li 4.653 5.103 4.875
Nd 2.366 2.434 0.000
Ga 2.405 2.703 3.475
F 0.604 1.102 0.329
F 0.993 1.440 3.534
F 1.641 3.804 4.885
F 1.638 3.648 1.923
F 3.172 1.759 5.027
F 3.169 1.602 2.066
F 3.817 3.967 3.416
F 4.205 4.304 6.622
```


No. 4
Starting from a cell relaxed with PBE, the X-ray powder pattern of Cs2PmCl6 was calculated for Cu Kα, 1.54184 Å.
Kinematic intensities with the Lorentz-polarization factor, no thermal factor.

Most intense lines, 2θ = 15–90°, by angle:
two_theta, Rel. int.
19.96, 100
20.62, 99
31.92, 61
33.40, 54
34.14, 23
35.73, 27
36.50, 24
36.88, 18
38.97, 19
40.04, 16
41.44, 14
50.95, 15

Crystal structure
```
9
Lattice="8.107 -4.180 0.000 8.107 4.180 0.000 -1.187 0.000 4.899" Properties=species:S:1:pos:R:3 pbc="T T T"
Cs 2.528 0.000 0.784
Cs 12.499 0.000 4.115
Pm 7.514 0.000 2.449
Cl 5.452 1.764 1.784
Cl 8.107 1.600 0.000
Cl 9.575 1.764 3.115
Cl 5.452 -1.764 1.784
Cl 8.107 -1.600 0.000
Cl 9.575 -1.764 3.115
```


No. 5
Starting from a cell relaxed with PBE, the X-ray powder pattern of Tb2TmOsC2 was calculated for Cu Kα, 1.54184 Å.
Kinematic intensities with the Lorentz-polarization factor, no thermal factor.

Most intense lines, 2θ = 15–90°, by angle:
two_theta, Rel. int.
29.16, 7
32.19, 25
32.55, 17
33.33, 100
46.43, 13
49.26, 11
58.12, 14
58.58, 7
60.07, 9
60.27, 7
70.01, 8
81.90, 9

Crystal structure
```
12
Lattice="5.562 0.000 0.000 0.000 11.004 0.000 0.000 0.000 3.700" Properties=species:S:1:pos:R:3 pbc="T T T"
Tb 0.294 2.289 0.000
Tb 2.487 7.791 1.850
Tb 3.075 3.213 1.850
Tb 5.268 8.715 0.000
Tm 0.000 5.502 1.850
Tm 2.781 0.000 0.000
Os 0.000 0.000 1.850
Os 2.781 5.502 0.000
C 1.241 6.771 0.000
C 1.540 1.269 1.850
C 4.022 9.735 1.850
C 4.321 4.233 0.000
```